1.
Theoretical powder diffraction line list of Li5Co3O8 for Cu Ka, from the GGA+U geometry in the Materials Project.

Cell and atoms:
abc: 5.8035 5.8035 14.3425
angles: 90.00 90.00 120.00
Space group R-3m (No. 166, hexagonal axes)
Inequivalent atoms, fractional coordinates:
Li1 0.0000 0.0000 0.0000 (multiplicity 3)
Li2 0.0000 0.0000 0.5000 (multiplicity 3)
Li3 0.0000 0.5000 0.0000 (multiplicity 9)
Co1 0.0000 0.5000 0.5000 (multiplicity 9)
O1 0.0000 0.0000 0.2543 (multiplicity 6)
O2 0.0254 0.5127 0.7638 (multiplicity 18)

Principal peaks in the range 2θ = 5–70°, most intense first:
2θ (°), Rel. int., (hkl)
18.6, 100, 0 0 3
44.0, 86, 0 2 4
36.3, 50, 0 2 1
18.7, 32, 1 0 1
64.2, 23, 2 2 0
63.8, 22, 2 0 8
21.6, 19, 0 1 2
67.5, 15, 2 2 3
58.1, 15, 0 2 7
48.1, 11, 2 0 5



2.
Theoretical powder diffraction line list of Na2LiMnP5O15 for Cu Ka, from the GGA+U geometry in the Materials Project.

Cell and atoms:
abc: 5.2329 13.9549 9.1340
angles: 90.00 104.76 90.00
Space group P2_1/m (No. 11)
Inequivalent atoms, fractional coordinates:
Na1 0.0894 0.0988 0.1449 (multiplicity 4)
Li1 0.0262 0.7500 0.1697 (multiplicity 2)
Mn1 0.5000 0.0000 0.5000 (multiplicity 2)
P1 0.0098 0.6440 0.4885 (multiplicity 4)
P2 0.3522 0.0780 0.8138 (multiplicity 4)
P3 0.4615 0.7500 0.9983 (multiplicity 2)
O1 0.0559 0.2500 0.4640 (multiplicity 2)
O2 0.1220 0.0780 0.4234 (multiplicity 4)
O3 0.1441 0.1466 0.6932 (multiplicity 4)
O4 0.2048 0.0408 0.9220 (multiplicity 4)
O5 0.2188 0.7500 0.8714 (multiplicity 2)
O6 0.2600 0.2500 0.0213 (multiplicity 2)
O7 0.2968 0.6343 0.4943 (multiplicity 4)
O8 0.4300 0.6602 0.1086 (multiplicity 4)
O9 0.4960 0.0110 0.7347 (multiplicity 4)

Principal peaks in the range 2θ = 5–70°, most intense first:
2θ (°), Rel. int., (hkl)
17.8, 100, 1 0 -1
20.1, 91, 0 0 2
25.8, 89, 1 2 1
22.0, 78, 1 2 -1
31.1, 72, 1 4 0
30.4, 68, 0 0 3
16.2, 56, 0 2 1
26.0, 56, 1 3 0
24.0, 54, 1 1 -2
29.6, 54, 1 3 1



3.
Theoretical powder diffraction line list of MgAg4Te8Mo2O24 for Cu Ka, from the GGA+U geometry in the Materials Project.

Cell and atoms:
abc: 5.9008 9.2311 12.1180
angles: 104.09 90.32 105.72
Space group P1 (No. 1)
Inequivalent atoms, fractional coordinates:
Mg1 0.0000 0.0000 0.0000 (multiplicity 1)
Ag1 0.2856 0.0102 0.5038 (multiplicity 1)
Ag2 0.2883 0.1588 0.8305 (multiplicity 1)
Ag3 0.5509 0.1149 0.0160 (multiplicity 1)
Ag4 0.8922 0.1384 0.4733 (multiplicity 1)
Te1 0.0270 0.3843 0.1497 (multiplicity 1)
Te2 0.1213 0.9049 0.2039 (multiplicity 1)
Te3 0.2502 0.7379 0.8538 (multiplicity 1)
Te4 0.4831 0.4152 0.6529 (multiplicity 1)
Te5 0.5315 0.2899 0.3369 (multiplicity 1)
Te6 0.5551 0.7444 0.3661 (multiplicity 1)
Te7 0.8178 0.9006 0.6852 (multiplicity 1)
Te8 0.8528 0.2825 0.8106 (multiplicity 1)
Mo1 0.6904 0.5907 0.0053 (multiplicity 1)
Mo2 0.9938 0.5923 0.5099 (multiplicity 1)
O1 0.0004 0.9192 0.8270 (multiplicity 1)
O2 0.0054 0.1035 0.6732 (multiplicity 1)
O3 0.0486 0.8184 0.5834 (multiplicity 1)
O4 0.1314 0.0954 0.1674 (multiplicity 1)
O5 0.1745 0.5441 0.6044 (multiplicity 1)
O6 0.2323 0.6236 0.3927 (multiplicity 1)
O7 0.2818 0.8912 0.9945 (multiplicity 1)
O8 0.3746 0.2878 0.5030 (multiplicity 1)
O9 0.4672 0.5402 0.0940 (multiplicity 1)
O10 0.4746 0.0741 0.3242 (multiplicity 1)
O11 0.4894 0.6420 0.8887 (multiplicity 1)
O12 0.6107 0.8960 0.5077 (multiplicity 1)
O13 0.6131 0.3662 0.8956 (multiplicity 1)
O14 0.6477 0.0809 0.8075 (multiplicity 1)
O15 0.7074 0.2922 0.6649 (multiplicity 1)
O16 0.7092 0.2862 0.1840 (multiplicity 1)
O17 0.7159 0.5806 0.6214 (multiplicity 1)
O18 0.7195 0.6056 0.3977 (multiplicity 1)
O19 0.8404 0.3561 0.4172 (multiplicity 1)
O20 0.8426 0.8172 0.0758 (multiplicity 1)
O21 0.9330 0.9139 0.3303 (multiplicity 1)
O22 0.9486 0.5473 0.1031 (multiplicity 1)
O23 0.9728 0.5955 0.8824 (multiplicity 1)
O24 0.9841 0.2307 0.0052 (multiplicity 1)

Principal peaks in the range 2θ = 5–70°, most intense first:
2θ (°), Rel. int., (hkl)
28.7, 100, 0 2 2
26.7, 40, 1 0 -3
32.3, 21, 0 2 -4
22.1, 21, 1 -2 1
26.8, 21, 1 -1 3
30.0, 19, 1 -3 1
24.5, 17, 1 -2 2
33.1, 14, 2 0 1
34.2, 13, -2 2 1
56.7, 11, 1 2 -7



4.
Theoretical powder diffraction line list of Li9Mn2Co5O16 for Cu Ka, from the GGA+U geometry in the Materials Project.

Cell and atoms:
abc: 5.9072 5.9095 8.6312
angles: 88.17 70.58 87.14
Space group P1 (No. 1)
Inequivalent atoms, fractional coordinates:
Li1 0.0000 0.0000 0.0000 (multiplicity 1)
Li2 0.0030 0.4986 0.0011 (multiplicity 1)
Li3 0.1272 0.7390 0.2392 (multiplicity 1)
Li4 0.2549 0.4998 0.4923 (multiplicity 1)
Li5 0.3656 0.2558 0.7602 (multiplicity 1)
Li6 0.5017 0.9988 0.0007 (multiplicity 1)
Li7 0.6400 0.7402 0.2348 (multiplicity 1)
Li8 0.7558 0.4958 0.4939 (multiplicity 1)
Li9 0.8781 0.2529 0.7558 (multiplicity 1)
Mn1 0.3735 0.7448 0.7496 (multiplicity 1)
Mn2 0.7508 0.9963 0.4940 (multiplicity 1)
Co1 0.1249 0.2521 0.2445 (multiplicity 1)
Co2 0.2515 0.9994 0.4959 (multiplicity 1)
Co3 0.5046 0.4904 0.0009 (multiplicity 1)
Co4 0.6352 0.2573 0.2454 (multiplicity 1)
Co5 0.8745 0.7434 0.7504 (multiplicity 1)
O1 0.1419 0.5339 0.7396 (multiplicity 1)
O2 0.1524 0.9939 0.7314 (multiplicity 1)
O3 0.2559 0.2556 0.0145 (multiplicity 1)
O4 0.2734 0.7421 0.9793 (multiplicity 1)
O5 0.3525 0.0156 0.2657 (multiplicity 1)
O6 0.3956 0.4938 0.2482 (multiplicity 1)
O7 0.5078 0.7770 0.5042 (multiplicity 1)
O8 0.5223 0.2367 0.4837 (multiplicity 1)
O9 0.6084 0.5069 0.7472 (multiplicity 1)
O10 0.6239 0.9730 0.7345 (multiplicity 1)
O11 0.7374 0.2560 0.0101 (multiplicity 1)
O12 0.7579 0.7418 0.9763 (multiplicity 1)
O13 0.8537 0.0003 0.2595 (multiplicity 1)
O14 0.8953 0.4801 0.2485 (multiplicity 1)
O15 0.9818 0.7611 0.5118 (multiplicity 1)
O16 0.9907 0.2143 0.4924 (multiplicity 1)

Principal peaks in the range 2θ = 5–70°, most intense first:
2θ (°), Rel. int., (hkl)
18.4, 100, 0 1 1
44.5, 51, 2 -2 1
42.2, 30, 2 2 1
36.7, 24, 0 1 -3
35.1, 17, 2 1 0
63.0, 15, 4 0 2
58.6, 9, 2 -3 0
47.7, 9, 2 1 4
62.9, 8, 2 2 5
63.2, 7, 2 2 -3



5.
Theoretical powder diffraction line list of KNaW2O6 for Cu Ka, from the GGA+U geometry in the Materials Project.

Cell and atoms:
abc: 4.0075 4.0075 7.9559
angles: 90.00 90.00 90.00
Space group P4/mmm (No. 123)
Inequivalent atoms, fractional coordinates:
K1 0.0000 0.0000 0.0000 (multiplicity 1)
Na1 0.0000 0.0000 0.5000 (multiplicity 1)
W1 0.5000 0.5000 0.2513 (multiplicity 2)
O1 0.0000 0.5000 0.2528 (multiplicity 4)
O2 0.5000 0.5000 0.0000 (multiplicity 1)
O3 0.5000 0.5000 0.5000 (multiplicity 1)

Principal peaks in the range 2θ = 5–70°, most intense first:
2θ (°), Rel. int., (hkl)
31.7, 100, 1 0 2
22.2, 86, 1 0 0
31.6, 51, 1 1 0
22.3, 42, 0 0 2
56.3, 40, 2 1 2
51.0, 38, 2 1 0
45.3, 32, 2 0 0
56.5, 20, 1 1 4
66.2, 19, 2 0 4
51.3, 18, 1 0 4



6.
Theoretical powder diffraction line list of Cr14MoO24 for Cu Ka, from the GGA+U geometry in the Materials Project.

Cell and atoms:
abc: 5.1257 5.4505 16.9673
angles: 83.79 81.36 62.23
Space group P-1 (No. 2)
Inequivalent atoms, fractional coordinates:
Cr1 0.0598 0.1627 0.2130 (multiplicity 2)
Cr2 0.0898 0.9201 0.4097 (multiplicity 2)
Cr3 0.1876 0.0879 0.0376 (multiplicity 2)
Cr4 0.1891 0.2869 0.8381 (multiplicity 2)
Cr5 0.2992 0.2159 0.6684 (multiplicity 2)
Cr6 0.4266 0.3420 0.2907 (multiplicity 2)
Cr7 0.4374 0.5368 0.0882 (multiplicity 2)
Mo1 0.5000 0.0000 0.5000 (multiplicity 1)
O1 0.0131 0.8119 0.0626 (multiplicity 2)
O2 0.0887 0.1911 0.4847 (multiplicity 2)
O3 0.1043 0.6233 0.3536 (multiplicity 2)
O4 0.1374 0.6366 0.8879 (multiplicity 2)
O5 0.2211 0.0050 0.7648 (multiplicity 2)
O6 0.2348 0.4388 0.1890 (multiplicity 2)
O7 0.2625 0.0583 0.3124 (multiplicity 2)
O8 0.2911 0.4907 0.7374 (multiplicity 2)
O9 0.3511 0.8814 0.6084 (multiplicity 2)
O10 0.3863 0.8876 0.1381 (multiplicity 2)
O11 0.4632 0.2621 0.0127 (multiplicity 2)
O12 0.4938 0.2840 0.5630 (multiplicity 2)

Principal peaks in the range 2θ = 5–70°, most intense first:
2θ (°), Rel. int., (hkl)
35.2, 100, 1 1 6
35.0, 55, 2 1 1
53.6, 49, 1 3 4
54.1, 47, 1 2 -7
33.2, 31, 0 1 -5
33.0, 30, 1 2 1
19.4, 27, 0 1 -1
32.8, 27, 1 -1 0
63.0, 24, 3 2 7
62.8, 23, 3 1 -4